Nd5Bi4S: simulated PXRD pattern (copper Kα), based on a crystal structure in Alexandria, relaxed with GGA-PBE.
Lines closer than 0.1° are merged.

Crystal structure
```
Nd5Bi4S
1.0
-2.2649 2.2649 15.9128
2.2649 -2.2649 15.9128
2.2649 2.2649 -15.9128
Nd Bi S
5 4 1
direct
0.0000 0.0000 0.0000 Nd
0.2010 0.2010 0.0000 Nd
0.4087 0.4087 0.0000 Nd
0.5913 0.5913 0.0000 Nd
0.7990 0.7990 0.0000 Nd
0.0992 0.0992 0.0000 Bi
0.3035 0.3035 0.0000 Bi
0.6965 0.6965 0.0000 Bi
0.9008 0.9008 0.0000 Bi
0.5000 0.5000 0.0000 S
```

Peak list (10 most intense, 10 to 80 degrees two-theta, by angle)
Position (°2θ)	Rel. int.
27.9	1000
28.0	444
39.8	377
39.9	698
49.4	381
57.5	130
65.1	183
65.2	167
65.5	138
72.3	249